The following is a calculated powder XRD pattern of Mn3Nb4Cr. It was derived from a DFT-relaxed cell (PBE, Alexandria), using copper Kα.
No peak broadening, texture or thermal motion is included.

Top 6 peaks for 10 to 90 degrees two-theta, in order of rising 2θ:
hkl  2theta  I/Imax
0 0 4  29.0  9
1 1 0  41.5  100
1 1 4  51.4  3
2 0 0  60.1  16
1 0 8  68.1  4
2 1 4  75.7  31

Cell lengths 3.0776, 3.0776, 12.3246 Å; angles 90.00, 90.00, 90.00 degrees
Positions (direct):
Mn (0.0000, 0.0000, 0.0000)
Mn (0.0000, 0.0000, 0.2477)
Mn (0.0000, 0.0000, 0.7523)
Nb (0.5000, 0.5000, 0.1248)
Nb (0.5000, 0.5000, 0.3744)
Nb (0.5000, 0.5000, 0.6256)
Nb (0.5000, 0.5000, 0.8752)
Cr (0.0000, 0.0000, 0.5000)